(1)
Computed powder diffractogram of TlB6H6 for a wavelength of 1.5418 Å, from a GGA-PBE-relaxed structure.
No peak broadening, texture or thermal motion is included.

Structural model:
```
data_TlB6H6
_chemical_formula_sum 'Tl2 B12 H12'
_cell_length_a 7.672
_cell_length_b 7.672
_cell_length_c 7.672
_cell_angle_alpha 60.00
_cell_angle_beta 60.00
_cell_angle_gamma 60.00
_space_group_name_H-M_alt 'P 1'
_space_group_IT_number 1
_space_group_name_Hall 'P 1'
loop_
_atom_site_label
_atom_site_fract_x
_atom_site_fract_y
_atom_site_fract_z
Tl1 0.250 0.250 0.250
Tl2 0.750 0.750 0.750
B1 0.051 0.215 0.785
B2 0.051 0.785 0.949
B3 0.051 0.949 0.215
B4 0.215 0.051 0.949
B5 0.215 0.785 0.051
B6 0.215 0.949 0.785
B7 0.785 0.051 0.215
B8 0.785 0.215 0.949
B9 0.785 0.949 0.051
B10 0.949 0.051 0.785
B11 0.949 0.215 0.051
B12 0.949 0.785 0.215
H1 0.088 0.367 0.633
H2 0.088 0.633 0.912
H3 0.088 0.912 0.367
H4 0.367 0.088 0.912
H5 0.367 0.633 0.088
H6 0.367 0.912 0.633
H7 0.633 0.088 0.367
H8 0.633 0.367 0.912
H9 0.633 0.912 0.088
H10 0.912 0.088 0.633
H11 0.912 0.367 0.088
H12 0.912 0.633 0.367
```

The 10 most intense peaks (15 to 90 degrees two-theta), low angle first:
two_theta  Rel. int.
16.34  782
23.19  1000
28.50  391
33.02  190
37.05  664
40.74  429
50.47  306
53.41  206
56.24  176
64.24  255

(2)
Computed powder diffractogram of UB4H16 for a wavelength of 1.5418 Å, from a GGA-PBE-relaxed structure.
No peak broadening, texture or thermal motion is included.

Structural model:
```
data_UB4H16
_chemical_formula_sum 'U2 B8 H32'
_cell_length_a 5.581
_cell_length_b 5.581
_cell_length_c 11.973
_cell_angle_alpha 90.00
_cell_angle_beta 90.00
_cell_angle_gamma 90.10
_space_group_name_H-M_alt 'P 1'
_space_group_IT_number 1
_space_group_name_Hall 'P 1'
loop_
_atom_site_label
_atom_site_fract_x
_atom_site_fract_y
_atom_site_fract_z
U1 0.221 0.779 0.750
U2 0.779 0.221 0.250
B1 0.153 0.281 0.750
B2 0.274 0.726 0.543
B3 0.274 0.726 0.957
B4 0.281 0.153 0.250
B5 0.719 0.847 0.750
B6 0.726 0.274 0.043
B7 0.726 0.274 0.457
B8 0.847 0.719 0.250
H1 0.017 0.578 0.250
H2 0.068 0.679 0.576
H3 0.068 0.679 0.924
H4 0.143 0.160 0.664
H5 0.143 0.160 0.836
H6 0.160 0.143 0.164
H7 0.160 0.143 0.336
H8 0.300 0.700 0.055
H9 0.300 0.700 0.445
H10 0.321 0.932 0.576
H11 0.321 0.932 0.924
H12 0.349 0.386 0.750
H13 0.386 0.349 0.250
H14 0.404 0.596 0.603
H15 0.404 0.596 0.897
H16 0.422 0.983 0.250
H17 0.578 0.017 0.750
H18 0.596 0.404 0.103
H19 0.596 0.404 0.397
H20 0.614 0.651 0.750
H21 0.651 0.614 0.250
H22 0.679 0.068 0.076
H23 0.679 0.068 0.424
H24 0.700 0.300 0.555
H25 0.700 0.300 0.945
H26 0.840 0.857 0.664
H27 0.840 0.857 0.836
H28 0.857 0.840 0.164
H29 0.857 0.840 0.336
H30 0.932 0.321 0.076
H31 0.932 0.321 0.424
H32 0.983 0.422 0.750
```

The 10 most intense peaks (15 to 90 degrees two-theta), low angle first:
two_theta  Rel. int.
17.53  1000
22.53  268
27.06  227
27.47  278
32.08  130
35.49  148
36.79  292
37.72  135
41.01  131
42.73  176

(3)
Computed powder diffractogram of HfB for a wavelength of 1.5418 Å, from a GGA-PBE-relaxed structure.
No peak broadening, texture or thermal motion is included.

Structural model:
```
data_HfB
_chemical_formula_sum 'Hf4 B4'
_cell_length_a 4.838
_cell_length_b 4.838
_cell_length_c 4.838
_cell_angle_alpha 90.00
_cell_angle_beta 90.00
_cell_angle_gamma 90.00
_space_group_name_H-M_alt 'P 1'
_space_group_IT_number 1
_space_group_name_Hall 'P 1'
loop_
_atom_site_label
_atom_site_fract_x
_atom_site_fract_y
_atom_site_fract_z
Hf1 0.000 0.000 0.000
Hf2 0.000 0.500 0.500
Hf3 0.500 0.000 0.500
Hf4 0.500 0.500 0.000
B1 0.000 0.000 0.500
B2 0.000 0.500 0.000
B3 0.500 0.000 0.000
B4 0.500 0.500 0.500
```

The 7 most intense peaks (15 to 90 degrees two-theta), low angle first:
two_theta  Rel. int.
32.04  1000
37.17  608
53.58  424
63.81  433
67.01  144
79.20  68
87.99  187

(4)
Computed powder diffractogram of HfB4Ir3 for a wavelength of 1.5418 Å, from a GGA-PBE-relaxed structure.
No peak broadening, texture or thermal motion is included.

Structural model:
```
data_HfB4Ir3
_chemical_formula_sum 'Hf2 B8 Ir6'
_cell_length_a 7.621
_cell_length_b 7.621
_cell_length_c 3.526
_cell_angle_alpha 90.00
_cell_angle_beta 90.00
_cell_angle_gamma 120.00
_space_group_name_H-M_alt 'P 1'
_space_group_IT_number 1
_space_group_name_Hall 'P 1'
loop_
_atom_site_label
_atom_site_fract_x
_atom_site_fract_y
_atom_site_fract_z
Hf1 0.333 0.667 0.250
Hf2 0.667 0.333 0.750
B1 0.000 0.000 0.000
B2 0.000 0.000 0.500
B3 0.051 0.602 0.750
B4 0.398 0.449 0.750
B5 0.449 0.051 0.250
B6 0.551 0.949 0.750
B7 0.602 0.551 0.250
B8 0.949 0.398 0.250
Ir1 0.075 0.332 0.750
Ir2 0.257 0.925 0.750
Ir3 0.332 0.257 0.250
Ir4 0.668 0.743 0.750
Ir5 0.743 0.075 0.250
Ir6 0.925 0.668 0.250
```

The 10 most intense peaks (15 to 90 degrees two-theta), low angle first:
two_theta  Rel. int.
27.02  316
34.66  774
36.00  258
37.32  1000
41.02  339
44.49  194
49.81  316
67.30  277
74.76  191
77.16  237

(5)
Computed powder diffractogram of Hf2BIr6 for a wavelength of 1.5418 Å, from a GGA-PBE-relaxed structure.
No peak broadening, texture or thermal motion is included.

Structural model:
```
data_Hf2BIr6
_chemical_formula_sum 'Hf2 B1 Ir6'
_cell_length_a 4.097
_cell_length_b 4.097
_cell_length_c 7.990
_cell_angle_alpha 90.00
_cell_angle_beta 90.00
_cell_angle_gamma 90.00
_space_group_name_H-M_alt 'P 1'
_space_group_IT_number 1
_space_group_name_Hall 'P 1'
loop_
_atom_site_label
_atom_site_fract_x
_atom_site_fract_y
_atom_site_fract_z
Hf1 0.000 0.000 0.237
Hf2 0.000 0.000 0.763
B1 0.500 0.500 0.500
Ir1 0.000 0.500 0.000
Ir2 0.000 0.500 0.500
Ir3 0.500 0.000 0.000
Ir4 0.500 0.000 0.500
Ir5 0.500 0.500 0.239
Ir6 0.500 0.500 0.761
```

The 10 most intense peaks (15 to 90 degrees two-theta), low angle first:
two_theta  Rel. int.
38.38  1000
44.21  348
45.40  154
46.31  8
64.31  116
65.24  212
66.86  6
77.45  266
79.15  115
82.21  113

(6)
Computed powder diffractogram of HfMg14B for a wavelength of 1.5418 Å, from a GGA-PBE-relaxed structure.
No peak broadening, texture or thermal motion is included.

Structural model:
```
data_HfMg14B
_chemical_formula_sum 'Hf1 Mg14 B1'
_cell_length_a 6.263
_cell_length_b 6.263
_cell_length_c 9.971
_cell_angle_alpha 90.00
_cell_angle_beta 90.00
_cell_angle_gamma 120.00
_space_group_name_H-M_alt 'P 1'
_space_group_IT_number 1
_space_group_name_Hall 'P 1'
loop_
_atom_site_label
_atom_site_fract_x
_atom_site_fract_y
_atom_site_fract_z
Hf1 0.000 0.000 0.000
Mg1 0.009 0.505 0.000
Mg2 0.158 0.317 0.260
Mg3 0.158 0.317 0.740
Mg4 0.158 0.842 0.260
Mg5 0.158 0.842 0.740
Mg6 0.495 0.505 0.000
Mg7 0.495 0.991 0.000
Mg8 0.503 0.005 0.500
Mg9 0.503 0.497 0.500
Mg10 0.667 0.333 0.241
Mg11 0.667 0.333 0.759
Mg12 0.683 0.842 0.260
Mg13 0.683 0.842 0.740
Mg14 0.995 0.497 0.500
B1 0.000 0.000 0.500
```

The 10 most intense peaks (15 to 90 degrees two-theta), low angle first:
two_theta  Rel. int.
16.34  354
18.62  686
24.25  212
29.91  249
31.57  231
33.03  281
36.03  247
37.76  1000
65.93  210
71.10  185

(7)
Computed powder diffractogram of HfMg14B for a wavelength of 1.5418 Å, from a GGA-PBE-relaxed structure.
No peak broadening, texture or thermal motion is included.

Structural model:
```
data_HfMg14B
_chemical_formula_sum 'Hf1 Mg14 B1'
_cell_length_a 10.101
_cell_length_b 6.357
_cell_length_c 6.357
_cell_angle_alpha 55.93
_cell_angle_beta 90.00
_cell_angle_gamma 90.00
_space_group_name_H-M_alt 'P 1'
_space_group_IT_number 1
_space_group_name_Hall 'P 1'
loop_
_atom_site_label
_atom_site_fract_x
_atom_site_fract_y
_atom_site_fract_z
Hf1 0.000 0.000 0.000
Mg1 0.000 0.022 0.493
Mg2 0.000 0.493 0.022
Mg3 0.201 0.621 0.621
Mg4 0.245 0.142 0.646
Mg5 0.245 0.646 0.142
Mg6 0.253 0.145 0.145
Mg7 0.500 0.485 0.485
Mg8 0.500 0.487 0.977
Mg9 0.500 0.977 0.487
Mg10 0.500 0.981 0.981
Mg11 0.747 0.145 0.145
Mg12 0.755 0.142 0.646
Mg13 0.755 0.646 0.142
Mg14 0.799 0.621 0.621
B1 0.000 0.458 0.458
```

The 10 most intense peaks (15 to 90 degrees two-theta), low angle first:
two_theta  Rel. int.
16.84  555
19.01  772
24.42  487
29.53  372
31.54  391
34.05  474
35.55  449
36.62  804
38.56  1000
50.03  361